Starting from a crystal structure in Alexandria, relaxed with GGA-PBE, the powder X-ray diffraction pattern of TaHOs3 was calculated for λ = 1.5418 Å (Cu Kα).

Atomic structure:
Unit cell a=4.896 b=5.307 c=5.669 alpha=105.33 beta=90.73 gamma=116.77
Space group P1 (No. 1)
Symmetry-distinct sites (fractional):
1 Ta 0.000 0.000 0.000 [1 per cell]
2 Ta 0.436 0.536 0.419 [1 per cell]
3 H 0.708 0.742 0.193 [1 per cell]
4 H 0.958 0.278 0.334 [1 per cell]
5 Os 0.011 0.014 0.524 [1 per cell]
6 Os 0.417 0.515 0.897 [1 per cell]
7 Os 0.493 0.014 0.274 [1 per cell]
8 Os 0.510 0.032 0.774 [1 per cell]
9 Os 0.916 0.504 0.653 [1 per cell]
10 Os 0.928 0.514 0.141 [1 per cell]

Main lines, low angle first (2θ = 15–90°):
hkl, 2θ (°), intensity
1 0 -2, 36.43, 15
2 -1 0, 36.72, 16
1 -1 2, 36.85, 21
0 2 0, 39.93, 54
1 1 -2, 41.59, 38
-1 1 2, 41.84, 74
2 -2 0, 42.12, 100
-3 1 2, 65.66, 13
-1 3 2, 74.01, 19
-3 3 2, 80.08, 14


Starting from a crystal structure in Alexandria, relaxed with GGA-PBE, the powder X-ray diffraction pattern of TaHOs3 was calculated for λ = 1.5418 Å (Cu Kα).

Atomic structure:
Unit cell a=9.024 b=5.669 c=4.907 alpha=90.00 beta=90.39 gamma=90.00
Space group C2/m (No. 12)
Symmetry-distinct sites (fractional):
1 Ta 0.128 0.000 0.335 [4 per cell]
2 H 0.234 0.000 0.961 [4 per cell]
3 Os 0.120 0.500 0.343 [4 per cell]
4 Os 0.122 0.256 0.823 [8 per cell]

Main lines, low angle first (2θ = 15–90°):
hkl, 2θ (°), intensity
0 0 2, 36.62, 48
4 0 0, 39.96, 50
2 0 -2, 41.82, 99
2 2 1, 41.99, 100
4 2 -1, 55.18, 16
0 4 0, 65.93, 35
6 2 1, 74.04, 14
4 2 -3, 79.71, 14
4 4 0, 79.94, 14
2 0 -4, 81.14, 15


> What is the formula in the first record?

TaHOs3